For Li2PmAs2O7, a GGA-PBE-relaxed structure gives the computed powder diffractogram in this record (Cu Ka).
No peak broadening, texture or thermal motion is included.

Principal peaks in the range 2θ from 10° to 80°, in order of rising 2θ:
| 2theta | d_spacing | I (rel.) |
| --- | --- | --- |
| 11.1 | 8.006 | 56 |
| 20.6 | 4.320 | 100 |
| 26.7 | 3.334 | 59 |
| 32.5 | 2.757 | 43 |
| 33.5 | 2.673 | 43 |
| 39.6 | 2.273 | 17 |
| 48.2 | 1.889 | 18 |
| 52.9 | 1.732 | 15 |
| 57.5 | 1.602 | 21 |
| 59.3 | 1.559 | 15 |

a b c (Å): 8.5802 8.5802 8.5802
angles (deg): 36.31 36.31 36.31
Fractional coordinates of all 12 atoms:
Li 0.2451 0.2451 0.2451
Li 0.7549 0.7549 0.7549
Pm 0.5000 0.5000 0.5000
As 0.0779 0.0779 0.0779
As 0.9221 0.9221 0.9221
O 0.0000 0.0000 0.0000
O 0.1035 0.4102 0.8018
O 0.1982 0.5898 0.8965
O 0.4102 0.8018 0.1035
O 0.5898 0.8965 0.1982
O 0.8018 0.1035 0.4102
O 0.8965 0.1982 0.5898